# Sc5Si7Pt9
Computed powder diffractogram, a wavelength of 1.5418 Å. Input: a cell relaxed with PBE.
Peak positions follow from Bragg's law for the DFT cell and can differ from measured ones.

Cell and atoms:
Lattice parameters (Å, degrees): 10.030 10.030 3.916 90.00 90.00 120.00
Fractional coordinates of all 21 atoms:
Sc  0.000  0.000  0.000
Sc  0.208  0.771  0.000
Sc  0.229  0.437  0.000
Sc  0.563  0.792  0.000
Sc  0.667  0.333  0.500
Si  0.019  0.239  0.500
Si  0.220  0.981  0.500
Si  0.333  0.667  0.500
Si  0.477  0.383  0.000
Si  0.617  0.094  0.000
Si  0.761  0.780  0.500
Si  0.906  0.523  0.000
Pt  0.049  0.505  0.500
Pt  0.251  0.233  0.500
Pt  0.385  0.116  0.000
Pt  0.456  0.951  0.500
Pt  0.495  0.544  0.500
Pt  0.731  0.615  0.000
Pt  0.767  0.018  0.500
Pt  0.884  0.269  0.000
Pt  0.982  0.749  0.500

Peak list (10 most intense, 15° ≤ 2θ ≤ 90°, in order of rising 2θ)
d [Å], Rel. int.
5.015, 26.8
4.343, 13.3
3.283, 26.7
3.086, 21.6
2.516, 100.0
2.052, 22.2
1.993, 22.6
1.958, 18.5
1.897, 43.2
1.397, 14.4

***

# PtSe2
Computed powder diffractogram, a wavelength of 1.5418 Å. Input: a cell relaxed with PBE.
Peak positions follow from Bragg's law for the DFT cell and can differ from measured ones.

Cell and atoms:
Lattice parameters (Å, degrees): 3.761 3.761 6.118 90.00 90.00 120.00
Fractional coordinates of all 3 atoms:
Pt  0.000  0.000  0.000
Se  0.333  0.667  0.214
Se  0.667  0.333  0.786

Peak list (10 most intense, 15° ≤ 2θ ≤ 90°, in order of rising 2θ)
d [Å], Rel. int.
3.257, 17.5
2.875, 100.0
2.230, 74.4
1.881, 37.4
1.798, 27.6
1.728, 32.7
1.574, 16.6
1.438, 18.6
1.207, 14.0
1.142, 18.1

***

# Ta2PtSe7
Computed powder diffractogram, a wavelength of 1.5418 Å. Input: a cell relaxed with PBE.
Peak positions follow from Bragg's law for the DFT cell and can differ from measured ones.

Cell and atoms:
Lattice parameters (Å, degrees): 8.049 8.049 18.996 108.88 108.88 25.65
Fractional coordinates of all 20 atoms:
Ta  0.161  0.161  0.398
Ta  0.235  0.235  0.093
Ta  0.765  0.765  0.907
Ta  0.839  0.839  0.602
Pt  0.302  0.302  0.789
Pt  0.698  0.698  0.211
Se  0.095  0.095  0.130
Se  0.156  0.156  0.829
Se  0.206  0.206  0.552
Se  0.267  0.267  0.307
Se  0.347  0.347  0.010
Se  0.414  0.414  0.707
Se  0.454  0.454  0.582
Se  0.546  0.546  0.418
Se  0.586  0.586  0.293
Se  0.653  0.653  0.990
Se  0.733  0.733  0.693
Se  0.794  0.794  0.448
Se  0.844  0.844  0.171
Se  0.905  0.905  0.870

Peak list (10 most intense, 15° ≤ 2θ ≤ 90°, in order of rising 2θ)
d [Å], Rel. int.
2.906, 89.6
2.828, 59.6
2.647, 100.0
2.447, 51.8
2.359, 79.6
2.316, 46.4
2.241, 89.1
1.892, 44.8
1.814, 36.4
1.787, 48.1

***

# TePtSe
Computed powder diffractogram, a wavelength of 1.5418 Å. Input: a cell relaxed with PBE.
Peak positions follow from Bragg's law for the DFT cell and can differ from measured ones.

Cell and atoms:
Lattice parameters (Å, degrees): 3.959 3.959 5.295 90.00 90.00 120.00
Fractional coordinates of all 3 atoms:
Te  0.000  0.000  0.000
Pt  0.333  0.667  0.738
Se  0.667  0.333  0.499

Peak list (10 most intense, 15° ≤ 2θ ≤ 90°, in order of rising 2θ)
d [Å], Rel. int.
5.295, 39.4
2.878, 100.0
2.095, 51.5
1.979, 38.7
1.854, 15.3
1.631, 18.5
1.569, 15.6
1.439, 15.5
1.259, 15.7
1.164, 15.8

***

# TlPt2Se3
Computed powder diffractogram, a wavelength of 1.5418 Å. Input: a cell relaxed with PBE.
Peak positions follow from Bragg's law for the DFT cell and can differ from measured ones.

Cell and atoms:
Lattice parameters (Å, degrees): 7.573 7.573 6.008 90.00 90.00 120.00
Fractional coordinates of all 12 atoms:
Tl  0.333  0.667  0.348
Tl  0.667  0.333  0.652
Pt  0.000  0.000  0.000
Pt  0.000  0.500  0.000
Pt  0.500  0.000  0.000
Pt  0.500  0.500  0.000
Se  0.170  0.340  0.793
Se  0.170  0.830  0.793
Se  0.340  0.170  0.207
Se  0.660  0.830  0.793
Se  0.830  0.170  0.207
Se  0.830  0.660  0.207

Peak list (10 most intense, 15° ≤ 2θ ≤ 90°, in order of rising 2θ)
d [Å], Rel. int.
2.878, 100.0
2.731, 12.3
2.215, 46.4
1.913, 11.0
1.893, 35.7
1.709, 11.4
1.582, 16.9
1.439, 11.9
1.214, 14.3
1.146, 11.9

***

# SiPt3
Computed powder diffractogram, a wavelength of 1.5418 Å. Input: a cell relaxed with PBE.
Peak positions follow from Bragg's law for the DFT cell and can differ from measured ones.

Cell and atoms:
Lattice parameters (Å, degrees): 5.503 5.503 3.989 90.00 90.00 90.00
Fractional coordinates of all 8 atoms:
Si  0.000  0.500  0.000
Si  0.500  0.000  0.000
Pt  0.000  0.000  0.000
Pt  0.183  0.317  0.500
Pt  0.317  0.817  0.500
Pt  0.500  0.500  0.000
Pt  0.683  0.183  0.500
Pt  0.817  0.683  0.500

Peak list (10 most intense, 15° ≤ 2θ ≤ 90°, in order of rising 2θ)
d [Å], Rel. int.
2.785, 39.8
2.461, 37.6
2.265, 100.0
2.094, 47.4
1.995, 27.5
1.945, 21.5
1.740, 19.4
1.550, 18.5
1.266, 17.1
1.233, 16.9

***

# Si3Pt2
Computed powder diffractogram, a wavelength of 1.5418 Å. Input: a cell relaxed with PBE.
Peak positions follow from Bragg's law for the DFT cell and can differ from measured ones.

Cell and atoms:
Lattice parameters (Å, degrees): 3.942 3.942 12.115 90.00 90.00 120.00
Fractional coordinates of all 10 atoms:
Si  0.000  0.000  0.250
Si  0.000  0.000  0.750
Si  0.333  0.667  0.065
Si  0.333  0.667  0.435
Si  0.667  0.333  0.565
Si  0.667  0.333  0.935
Pt  0.333  0.667  0.637
Pt  0.333  0.667  0.863
Pt  0.667  0.333  0.137
Pt  0.667  0.333  0.363

Peak list (10 most intense, 15° ≤ 2θ ≤ 90°, in order of rising 2θ)
d [Å], Rel. int.
3.413, 37.8
3.286, 100.0
3.029, 29.2
2.607, 16.7
2.265, 31.1
1.976, 55.5
1.971, 49.5
1.652, 30.6
1.395, 18.1
1.138, 28.2

***

# SiPt3
Computed powder diffractogram, a wavelength of 1.5418 Å. Input: a cell relaxed with PBE.
Peak positions follow from Bragg's law for the DFT cell and can differ from measured ones.

Cell and atoms:
Lattice parameters (Å, degrees): 7.766 7.909 5.446 90.00 133.24 90.00
Fractional coordinates of all 16 atoms:
Si  0.215  0.000  0.426
Si  0.285  0.500  0.574
Si  0.715  0.500  0.426
Si  0.785  0.000  0.574
Pt  0.000  0.226  0.000
Pt  0.000  0.316  0.500
Pt  0.000  0.684  0.500
Pt  0.000  0.774  0.000
Pt  0.217  0.000  0.863
Pt  0.283  0.500  0.137
Pt  0.500  0.184  0.500
Pt  0.500  0.274  0.000
Pt  0.500  0.726  0.000
Pt  0.500  0.816  0.500
Pt  0.717  0.500  0.863
Pt  0.783  0.000  0.137

Peak list (10 most intense, 15° ≤ 2θ ≤ 90°, in order of rising 2θ)
d [Å], Rel. int.
2.770, 24.5
2.722, 28.4
2.412, 28.3
2.373, 68.0
2.362, 27.0
2.301, 100.0
2.242, 53.3
1.940, 32.5
1.773, 18.4
1.769, 27.3